Nd12CoAg6: calculated powder XRD pattern (copper Kα), based on a crystal structure in Alexandria, relaxed with PBE.
Lines closer than 0.1° are merged.

Peak list (10 most intense, 10 to 90 degrees two-theta, sorted by position)
2θ 27.88, I 57.5
2θ 29.48, I 19.1
2θ 31.44, I 100.0
2θ 33.55, I 43.0
2θ 35.00, I 26.6
2θ 35.77, I 81.0
2θ 40.54, I 21.1
2θ 48.77, I 15.0
2θ 57.51, I 14.9
2θ 58.66, I 15.0

Structural model:
```
data_Nd12CoAg6
_cell_length_a 12.1215
_cell_length_b 12.1215
_cell_length_c 13.4384
_cell_angle_alpha 90.00
_cell_angle_beta 90.00
_cell_angle_gamma 120.00
_symmetry_space_group_name_H-M 'R -3'
_symmetry_Int_Tables_number 148
_symmetry_space_group_name_Hall '-R 3'
loop_
_atom_site_label
_atom_site_fract_x
_atom_site_fract_y
_atom_site_fract_z
Nd1 0.0380 0.8467 0.3783
Nd2 0.0390 0.1927 0.8874
Co1 0.0000 0.0000 0.5000
Ag1 0.0036 0.3996 0.7556
```


SnHgBrCl: calculated powder XRD pattern (copper Kα), based on a crystal structure in Alexandria, relaxed with PBE.
Lines closer than 0.1° are merged.

Peak list (10 most intense, 10 to 90 degrees two-theta, sorted by position)
2θ 15.64, I 59.0
2θ 17.53, I 33.2
2θ 26.57, I 100.0
2θ 27.16, I 19.1
2θ 28.97, I 41.9
2θ 33.62, I 18.6
2θ 34.41, I 38.1
2θ 37.99, I 34.1
2θ 41.38, I 25.2
2θ 41.84, I 26.7

Structural model:
```
data_SnHgBrCl
_cell_length_a 4.316
_cell_length_b 5.850
_cell_length_c 6.217
_cell_angle_alpha 65.70
_cell_angle_beta 89.97
_cell_angle_gamma 89.83
_symmetry_space_group_name_H-M 'P 1'
_symmetry_Int_Tables_number 1
loop_
_symmetry_equiv_pos_as_xyz
'x,y,z'
loop_
_atom_site_label
_atom_site_fract_x
_atom_site_fract_y
_atom_site_fract_z
Sn1 0.000 0.000 0.000
Hg1 0.500 0.422 0.764
Br1 0.001 0.917 0.606
Cl1 0.502 0.687 0.173
```


Pr3Sm3Tl: calculated powder XRD pattern (copper Kα), based on a crystal structure in Alexandria, relaxed with PBE.
Lines closer than 0.1° are merged.

Peak list (10 most intense, 10 to 90 degrees two-theta, sorted by position)
2θ 28.31, I 23.3
2θ 31.11, I 24.9
2θ 32.39, I 100.0
2θ 42.56, I 15.6
2θ 50.13, I 18.5
2θ 56.16, I 21.0
2θ 60.18, I 21.4
2θ 60.96, I 15.1
2θ 82.73, I 12.0
2θ 86.22, I 8.0

Structural model:
```
data_Pr3Sm3Tl
_cell_length_a 9.626
_cell_length_b 5.750
_cell_length_c 9.630
_cell_angle_alpha 90.00
_cell_angle_beta 119.97
_cell_angle_gamma 90.00
_symmetry_space_group_name_H-M 'P 1 21/m 1'
_symmetry_Int_Tables_number 11
loop_
_symmetry_equiv_pos_as_xyz
'x,y,z'
'-x,-y,-z'
'-x,y+1/2,-z'
'x,-y+1/2,z'
loop_
_atom_site_label
_atom_site_fract_x
_atom_site_fract_y
_atom_site_fract_z
Pr1 0.023 0.250 0.129
Pr2 0.130 0.750 0.608
Pr3 0.393 0.750 0.023
Sm1 0.258 0.750 0.321
Sm2 0.321 0.250 0.563
Sm3 0.438 0.250 0.258
Tl1 0.167 0.250 0.834
```


KNiAs: calculated powder XRD pattern (copper Kα), based on a crystal structure in Alexandria, relaxed with PBE.
Lines closer than 0.1° are merged.

Peak list (10 most intense, 10 to 90 degrees two-theta, sorted by position)
2θ 17.82, I 41.8
2θ 27.62, I 76.5
2θ 28.44, I 100.0
2θ 35.15, I 92.7
2θ 36.98, I 33.5
2θ 43.74, I 79.7
2θ 44.99, I 48.5
2θ 49.37, I 46.5
2θ 53.63, I 38.7
2θ 54.35, I 51.3

Structural model:
```
data_KNiAs
_cell_length_a 4.190
_cell_length_b 4.191
_cell_length_c 9.964
_cell_angle_alpha 91.41
_cell_angle_beta 91.46
_cell_angle_gamma 98.77
_symmetry_space_group_name_H-M 'P -1'
_symmetry_Int_Tables_number 2
loop_
_symmetry_equiv_pos_as_xyz
'x,y,z'
'-x,-y,-z'
loop_
_atom_site_label
_atom_site_fract_x
_atom_site_fract_y
_atom_site_fract_z
K1 0.235 0.233 0.291
Ni1 0.206 0.794 0.000
As1 0.294 0.295 0.899
```


Dy2H8Rh3: calculated powder XRD pattern (copper Kα), based on a crystal structure in Alexandria, relaxed with PBE.
Lines closer than 0.1° are merged.

Peak list (10 most intense, 10 to 90 degrees two-theta, sorted by position)
2θ 23.95, I 53.4
2θ 29.39, I 100.0
2θ 32.68, I 41.8
2θ 33.33, I 75.6
2θ 34.20, I 71.8
2θ 36.55, I 87.1
2θ 37.17, I 74.0
2θ 37.65, I 51.0
2θ 38.84, I 65.5
2θ 61.97, I 37.5

Structural model:
```
data_Dy2H8Rh3
_cell_length_a 9.537
_cell_length_b 5.672
_cell_length_c 4.984
_cell_angle_alpha 90.00
_cell_angle_beta 111.58
_cell_angle_gamma 90.00
_symmetry_space_group_name_H-M 'C 1 2/m 1'
_symmetry_Int_Tables_number 12
loop_
_symmetry_equiv_pos_as_xyz
'x,y,z'
'-x,-y,-z'
'-x,y,-z'
'x,-y,z'
'x+1/2,y+1/2,z'
'-x+1/2,-y+1/2,-z'
'-x+1/2,y+1/2,-z'
'x+1/2,-y+1/2,z'
loop_
_atom_site_label
_atom_site_fract_x
_atom_site_fract_y
_atom_site_fract_z
Dy1 0.196 0.000 0.193
H1 0.104 0.500 0.379
H2 0.106 0.297 0.879
H3 0.128 0.000 0.587
Rh1 0.000 0.245 0.500
Rh2 0.000 0.500 0.000
```


TbEr2Se4: calculated powder XRD pattern (copper Kα), based on a crystal structure in Alexandria, relaxed with PBE.
Lines closer than 0.1° are merged.

Peak list (10 most intense, 10 to 90 degrees two-theta, sorted by position)
2θ 13.08, I 39.3
2θ 14.27, I 25.2
2θ 25.21, I 77.1
2θ 28.37, I 63.4
2θ 28.77, I 34.5
2θ 36.30, I 28.0
2θ 36.56, I 79.1
2θ 37.02, I 64.2
2θ 37.22, I 38.0
2θ 44.42, I 100.0

Structural model:
```
data_TbEr2Se4
_cell_length_a 15.123
_cell_length_b 4.075
_cell_length_c 7.074
_cell_angle_alpha 90.00
_cell_angle_beta 116.49
_cell_angle_gamma 90.00
_symmetry_space_group_name_H-M 'C 1 2/m 1'
_symmetry_Int_Tables_number 12
loop_
_symmetry_equiv_pos_as_xyz
'x,y,z'
'-x,-y,-z'
'-x,y,-z'
'x,-y,z'
'x+1/2,y+1/2,z'
'-x+1/2,-y+1/2,-z'
'-x+1/2,y+1/2,-z'
'x+1/2,-y+1/2,z'
loop_
_atom_site_label
_atom_site_fract_x
_atom_site_fract_y
_atom_site_fract_z
Tb1 0.000 0.000 0.000
Er1 0.236 0.500 0.726
Se1 0.125 0.000 0.448
Se2 0.136 0.500 0.989
```